No. 1
For Rb3Mn2CuBr9, a GGA-PBE-relaxed structure gives the theoretical powder diffractogram in this record (Cu Kα).

Main lines, by angle (10° ≤ 2θ ≤ 80°):
- 16.72°, d 5.302, I 12
- 23.73°, d 3.749, I 14
- 29.18°, d 3.061, I 95
- 33.81°, d 2.651, I 100
- 41.73°, d 2.164, I 6
- 48.57°, d 1.874, I 69
- 57.67°, d 1.599, I 41
- 60.49°, d 1.530, I 24
- 71.13°, d 1.325, I 11
- 78.67°, d 1.216, I 17

Structure:
```
data_Rb3Mn2CuBr9
_cell_length_a 7.4970
_cell_length_b 7.4970
_cell_length_c 9.1844
_cell_angle_alpha 90.00
_cell_angle_beta 90.00
_cell_angle_gamma 120.00
_symmetry_space_group_name_H-M 'P -3 m 1'
_symmetry_Int_Tables_number 164
_symmetry_space_group_name_Hall '-P 3 2"'
loop_
_atom_site_label
_atom_site_fract_x
_atom_site_fract_y
_atom_site_fract_z
Rb1 0.0000 0.0000 0.0000
Rb2 0.3333 0.6667 0.6634
Mn1 0.3333 0.6667 0.1750
Cu1 0.0000 0.0000 0.5000
Br1 0.0000 0.5000 0.0000
Br2 0.1668 0.3335 0.3327
```

***

No. 2
For Mn2TlCuBr8, a GGA-PBE-relaxed structure gives the theoretical powder diffractogram in this record (Cu Kα).

Main lines, by angle (10° ≤ 2θ ≤ 80°):
- 14.97°, d 5.918, I 24
- 24.36°, d 3.655, I 22
- 26.08°, d 3.417, I 19
- 27.82°, d 3.207, I 100
- 28.82°, d 3.098, I 35
- 32.53°, d 2.752, I 76
- 44.98°, d 2.015, I 15
- 46.01°, d 1.973, I 42
- 47.32°, d 1.921, I 43
- 55.21°, d 1.664, I 29

Structure:
```
data_Mn2TlCuBr8
_cell_length_a 6.8331
_cell_length_b 6.8331
_cell_length_c 9.2930
_cell_angle_alpha 90.00
_cell_angle_beta 90.00
_cell_angle_gamma 120.00
_symmetry_space_group_name_H-M 'P -3'
_symmetry_Int_Tables_number 147
loop_
_symmetry_equiv_pos_as_xyz
'x,y,z'
'-x,-y,-z'
'-y,x-y,z'
'y,-x+y,-z'
'-x+y,-x,z'
'x-y,x,-z'
loop_
_atom_site_label
_atom_site_fract_x
_atom_site_fract_y
_atom_site_fract_z
Mn1 0.3333 0.6667 0.2351
Tl1 0.0000 0.0000 0.5000
Cu1 0.0000 0.0000 0.0000
Br1 0.0070 0.3080 0.1673
Br2 0.3333 0.6667 0.4911
```

***

No. 3
For MnTl3Cu2Br8, a GGA-PBE-relaxed structure gives the theoretical powder diffractogram in this record (Cu Kα).

Main lines, by angle (10° ≤ 2θ ≤ 80°):
- 23.56°, d 3.777, I 28
- 23.87°, d 3.728, I 100
- 28.76°, d 3.104, I 30
- 29.28°, d 3.050, I 73
- 31.99°, d 2.798, I 29
- 33.79°, d 2.653, I 82
- 41.98°, d 2.152, I 23
- 48.19°, d 1.888, I 29
- 48.87°, d 1.864, I 48
- 57.69°, d 1.598, I 25

Structure:
```
data_MnTl3Cu2Br8
_cell_length_a 7.4552
_cell_length_b 7.4552
_cell_length_c 9.3130
_cell_angle_alpha 90.00
_cell_angle_beta 90.00
_cell_angle_gamma 120.00
_symmetry_space_group_name_H-M 'P -3 m 1'
_symmetry_Int_Tables_number 164
_symmetry_space_group_name_Hall '-P 3 2"'
loop_
_atom_site_label
_atom_site_fract_x
_atom_site_fract_y
_atom_site_fract_z
Mn1 0.0000 0.0000 0.0000
Tl1 0.0000 0.0000 0.5000
Tl2 0.3333 0.6667 0.1270
Cu1 0.3333 0.6667 0.7099
Br1 0.1611 0.3222 0.8281
Br2 0.3333 0.6667 0.4610
```

***

No. 4
For Cu2MoBr6, a GGA-PBE-relaxed structure gives the theoretical powder diffractogram in this record (Cu Kα).

Main lines, by angle (10° ≤ 2θ ≤ 80°):
- 13.97°, d 6.341, I 100
- 28.19°, d 3.165, I 73
- 28.31°, d 3.153, I 15
- 37.75°, d 2.383, I 34
- 40.22°, d 2.242, I 12
- 40.34°, d 2.236, I 10
- 42.84°, d 2.111, I 16
- 50.18°, d 1.818, I 14
- 51.95°, d 1.760, I 12
- 52.20°, d 1.752, I 9

Structure:
```
data_Cu2MoBr6
_cell_length_a 14.513
_cell_length_b 12.725
_cell_length_c 7.301
_cell_angle_alpha 90.00
_cell_angle_beta 120.10
_cell_angle_gamma 90.00
_symmetry_space_group_name_H-M 'C 1 2/c 1'
_symmetry_Int_Tables_number 15
loop_
_symmetry_equiv_pos_as_xyz
'x,y,z'
'-x,-y,-z'
'-x,y,-z+1/2'
'x,-y,z+1/2'
'x+1/2,y+1/2,z'
'-x+1/2,-y+1/2,-z'
'-x+1/2,y+1/2,-z+1/2'
'x+1/2,-y+1/2,z+1/2'
loop_
_atom_site_label
_atom_site_fract_x
_atom_site_fract_y
_atom_site_fract_z
Cu1 0.205 0.163 0.039
Mo1 0.000 0.247 0.750
Br1 0.109 0.103 0.691
Br2 0.111 0.263 0.161
Br3 0.120 0.396 0.729
```

***

No. 5
For CuMoBr6, a GGA-PBE-relaxed structure gives the theoretical powder diffractogram in this record (Cu Kα).

Main lines, by angle (10° ≤ 2θ ≤ 80°):
- 18.74°, d 4.735, I 36
- 25.75°, d 3.459, I 10
- 30.56°, d 2.925, I 11
- 31.51°, d 2.839, I 100
- 41.56°, d 2.173, I 43
- 48.57°, d 1.875, I 34
- 54.93°, d 1.672, I 20
- 59.05°, d 1.564, I 15
- 65.79°, d 1.419, I 10
- 79.86°, d 1.201, I 11

Structure:
```
data_CuMoBr6
_cell_length_a 6.491
_cell_length_b 6.494
_cell_length_c 6.947
_cell_angle_alpha 90.07
_cell_angle_beta 117.81
_cell_angle_gamma 119.97
_symmetry_space_group_name_H-M 'P -1'
_symmetry_Int_Tables_number 2
loop_
_symmetry_equiv_pos_as_xyz
'x,y,z'
'-x,-y,-z'
loop_
_atom_site_label
_atom_site_fract_x
_atom_site_fract_y
_atom_site_fract_z
Cu1 0.000 0.000 0.000
Mo1 0.000 0.500 0.500
Br1 0.153 0.740 0.253
Br2 0.159 0.900 0.747
Br3 0.487 0.588 0.747
```